This entry pairs a crystal structure of Tb4Pr2Th3 with its computed powder XRD pattern. Radiation: Cu Kα X-rays. Structure: a GGA-PBE-relaxed structure.
Lines closer than 0.1° are merged.

Top 10 peaks for 10° ≤ 2θ ≤ 90°, most intense first:
| d [Å] | Rel. int. | hkl |
| --- | --- | --- |
| 2.690 | 100 | 1 0 5 |
| 2.820 | 62 | 0 1 4 |
| 2.989 | 47 | 0 0 9 |
| 3.106 | 43 | 1 0 0 |
| 1.538 | 40 | 1 1 9 |
| 1.793 | 36 | 1 1 0 |
| 1.634 | 31 | 0 1 14 |
| 2.154 | 29 | 1 0 9 |
| 1.147 | 26 | 1 1 18 |
| 1.492 | 19 | 0 2 5 |

Cell and atoms:
Lattice parameters (Å, degrees): 3.5866 3.5866 26.8984 90.00 90.00 120.00
Space group P3m1 (No. 156)
Symmetry-distinct sites (fractional):
Tb (0.0000, 0.0000, 0.0000) x1
Tb (0.0000, 0.0000, 0.2149) x1
Tb (0.3333, 0.6667, 0.3219) x1
Tb (0.3333, 0.6667, 0.5378) x1
Pr (0.0000, 0.0000, 0.6508) x1
Pr (0.0000, 0.0000, 0.8726) x1
Th (0.0000, 0.0000, 0.4305) x1
Th (0.3333, 0.6667, 0.1051) x1
Th (0.3333, 0.6667, 0.7627) x1



This entry pairs a crystal structure of La2P3Pd4Pt with its computed powder XRD pattern. Radiation: Cu Kα X-rays. Structure: a GGA-PBE-relaxed structure.
Lines closer than 0.1° are merged.

Top 10 peaks for 10° ≤ 2θ ≤ 90°, most intense first:
| d [Å] | Rel. int. | hkl |
| --- | --- | --- |
| 2.585 | 100 | 1 1 2 |
| 2.098 | 42 | 2 0 0 |
| 2.692 | 28 | 1 0 3 |
| 1.287 | 22 | 3 1 2 |
| 1.882 | 19 | 1 0 5 |
| 1.401 | 14 | 2 1 5 |
| 1.483 | 14 | 2 2 0 |
| 1.655 | 13 | 2 1 3 |
| 3.898 | 12 | 1 0 1 |
| 3.281 | 12 | 1 0 2 |

Cell and atoms:
Lattice parameters (Å, degrees): 4.1958 4.1958 10.5289 90.00 90.00 90.00
Space group P-4m2 (No. 115)
Symmetry-distinct sites (fractional):
La (0.0000, 0.5000, 0.2447) x2
P (0.0000, 0.0000, 0.0000) x1
P (0.0000, 0.5000, 0.6242) x2
Pd (0.0000, 0.0000, 0.5000) x1
Pd (0.0000, 0.5000, 0.8440) x2
Pd (0.5000, 0.5000, 0.5000) x1
Pt (0.5000, 0.5000, 0.0000) x1